(1)
Structure and theoretical powder XRD pattern of YSb3S6 (a structure optimized by DFT (GGA-PBE); a wavelength of 1.5418 Å).

Largest 8 diffraction maxima, by angle, 2θ from 10° to 90°:
- 22.71 deg, I 100.0
- 25.92 deg, I 92.9
- 29.10 deg, I 20.2
- 37.47 deg, I 27.4
- 39.64 deg, I 99.6
- 44.36 deg, I 25.5
- 46.15 deg, I 49.0
- 51.40 deg, I 21.7

Cell and atoms:
```
YSb3S6
1.0
4.801 -6.769 0.000
4.801 6.769 0.000
0.000 0.000 3.991
Y Sb S
1 3 6
Cartesian
0.000 0.000 0.000
2.400 3.384 1.995
2.400 -3.384 1.995
4.801 0.000 0.000
4.801 4.785 1.995
2.723 1.609 0.000
2.723 -1.609 0.000
6.879 1.609 0.000
6.879 -1.609 0.000
4.801 -4.785 1.995
```

(2)
Structure and theoretical powder XRD pattern of ZrSbS3 (a structure optimized by DFT (GGA-PBE); a wavelength of 1.5418 Å).

Largest 8 diffraction maxima, by angle, 2θ from 10° to 90°:
- 17.23 deg, I 83.4
- 26.42 deg, I 27.7
- 28.19 deg, I 88.6
- 30.80 deg, I 27.0
- 31.72 deg, I 37.0
- 35.51 deg, I 100.0
- 37.39 deg, I 54.8
- 47.75 deg, I 51.1

Cell and atoms:
```
ZrSbS3
1.0
1.820 -10.294 0.000
1.820 10.294 0.000
0.000 0.000 6.746
Zr Sb S
2 2 6
Cartesian
1.820 6.801 3.373
1.820 -6.801 0.000
1.820 2.997 3.450
1.820 -2.997 0.077
1.820 8.543 1.440
1.820 5.062 5.531
1.820 2.022 1.048
1.820 -2.022 4.421
1.820 -5.062 2.158
1.820 -8.543 4.812
```

(3)
Structure and theoretical powder XRD pattern of Zr4SbS (a structure optimized by DFT (GGA-PBE); a wavelength of 1.5418 Å).

Largest 8 diffraction maxima, by angle, 2θ from 10° to 90°:
- 29.45 deg, I 28.2
- 32.38 deg, I 74.9
- 32.84 deg, I 48.0
- 35.23 deg, I 85.7
- 37.04 deg, I 30.3
- 37.66 deg, I 100.0
- 38.75 deg, I 45.9
- 39.11 deg, I 44.5

Cell and atoms:
```
Zr4SbS
1.0
3.930 -6.066 0.000
3.930 6.066 0.000
-2.071 0.000 5.288
Zr Sb S
8 2 2
Cartesian
1.200 3.867 4.931
0.932 1.048 3.358
3.553 3.867 3.001
1.968 -1.048 0.714
3.821 1.048 4.574
2.236 -3.867 2.287
4.857 -1.048 1.930
4.589 -3.867 0.357
3.412 1.442 1.322
2.377 -1.442 3.966
3.412 5.878 1.322
2.377 -5.878 3.966
```